Starting from the PBE geometry in Alexandria, the X-ray powder pattern of AlGeAu3 was simulated for Cu Kα (λ = 1.5418 Å).

Cell and atoms:
```
data_AlGeAu3
_space_group_name_H-M_alt 'F m m m'
_space_group_IT_number 69
_space_group_name_Hall '-F 2 2'
_cell_length_a 4.2647
_cell_length_b 12.3658
_cell_length_c 16.3720
_cell_angle_alpha 90.00
_cell_angle_beta 90.00
_cell_angle_gamma 90.00
loop_
_atom_site_label
_atom_site_type_symbol
_atom_site_fract_x
_atom_site_fract_y
_atom_site_fract_z
Al1 Al 0.0000 0.1672 0.0000
Ge1 Ge 0.0000 0.0000 0.2962
Au1 Au 0.0000 0.0000 0.0933
Au2 Au 0.0000 0.1674 0.3960
```

The 12 most intense peaks (2θ from 5° to 70°), by intensity:
hkl 1 3 5, d 2.197, 2θ = 41.08°, I 100; hkl 1 3 1, d 2.916, 2θ = 30.66°, I 85; hkl 0 0 4, d 4.093, 2θ = 21.71°, I 47; hkl 0 0 2, d 8.186, 2θ = 10.81°, I 26; hkl 2 0 0, d 2.132, 2θ = 42.39°, I 23; hkl 0 6 0, d 2.061, 2θ = 43.93°, I 23; hkl 0 0 6, d 2.729, 2θ = 32.82°, I 18; hkl 2 6 0, d 1.482, 2θ = 62.69°, I 15; hkl 2 0 4, d 1.891, 2θ = 48.12°, I 12; hkl 1 3 9, d 1.550, 2θ = 59.64°, I 12; hkl 0 6 4, d 1.841, 2θ = 49.52°, I 11; hkl 0 0 10, d 1.637, 2θ = 56.18°, I 9